Entry 1:
The following is a theoretical PXRD pattern of Nb6FeOs. It was derived from a crystal structure in Alexandria, relaxed with PBE, using CuKα.
No peak broadening, texture or thermal motion is included.

Top 10 peaks for 10° ≤ 2θ ≤ 90°, most intense first:
Position (°2θ)  Rel. int.
39.4  100
71.4  33
56.9  17
84.7  10
20.6  8
28.4  4
44.8  2
49.3  2
13.7  2
40.0  2

Crystal structure
abc: 7.2389 7.2389 7.2389
angles: 143.16 143.16 53.09
Fractional coordinates of all 8 atoms:
Nb 0.1202 0.6202 0.5000
Nb 0.2496 0.2496 0.0000
Nb 0.3798 0.8798 0.5000
Nb 0.6202 0.1202 0.5000
Nb 0.7504 0.7504 0.0000
Nb 0.8798 0.3798 0.5000
Fe 0.0000 0.0000 0.0000
Os 0.5000 0.5000 0.0000

=====

Entry 2:
The following is a theoretical PXRD pattern of PrNbFeP2. It was derived from a crystal structure in Alexandria, relaxed with PBE, using CuKα.
No peak broadening, texture or thermal motion is included.

Top 10 peaks for 10° ≤ 2θ ≤ 90°, most intense first:
Position (°2θ)  Rel. int.
35.9  100
32.0  57
24.1  34
46.8  34
56.5  27
29.4  27
44.0  22
57.8  20
79.7  19
56.3  17

Crystal structure
abc: 6.6584 6.6584 6.6584
angles: 146.11 146.11 48.68
Fractional coordinates of all 5 atoms:
Pr 0.0000 0.0000 0.0000
Nb 0.2500 0.7500 0.5000
Fe 0.7500 0.2500 0.5000
P 0.3732 0.3732 0.0000
P 0.6268 0.6268 0.0000

=====

Entry 3:
The following is a theoretical PXRD pattern of Nb6FePd. It was derived from a crystal structure in Alexandria, relaxed with PBE, using CuKα.
No peak broadening, texture or thermal motion is included.

Top 10 peaks for 10° ≤ 2θ ≤ 90°, most intense first:
Position (°2θ)  Rel. int.
39.5  100
38.7  53
70.6  34
55.9  18
72.2  16
85.1  10
58.3  8
83.0  5
20.3  2
28.6  2

Crystal structure
abc: 7.1322 7.1322 7.1322
angles: 141.92 141.92 54.95
Fractional coordinates of all 8 atoms:
Nb 0.1226 0.6226 0.5000
Nb 0.2474 0.2474 0.0000
Nb 0.3774 0.8774 0.5000
Nb 0.6226 0.1226 0.5000
Nb 0.7526 0.7526 0.0000
Nb 0.8774 0.3774 0.5000
Fe 0.0000 0.0000 0.0000
Pd 0.5000 0.5000 0.0000

=====

Entry 4:
The following is a theoretical PXRD pattern of Nb2FePd6. It was derived from a crystal structure in Alexandria, relaxed with PBE, using CuKα.
No peak broadening, texture or thermal motion is included.

Top 10 peaks for 10° ≤ 2θ ≤ 90°, most intense first:
Position (°2θ)  Rel. int.
39.4  100
45.4  17
46.0  16
46.2  16
80.7  12
80.9  11
79.8  10
67.2  10
66.6  10
84.9  10

Crystal structure
abc: 8.4099 6.3088 6.2215
angles: 84.31 48.29 47.40
Fractional coordinates of all 9 atoms:
Nb 0.1500 0.1500 0.8500
Nb 0.8500 0.8500 0.1500
Fe 0.5000 0.5000 0.5000
Pd 0.1656 0.8344 0.1656
Pd 0.1738 0.4905 0.5095
Pd 0.4905 0.1738 0.8262
Pd 0.5095 0.8262 0.1738
Pd 0.8262 0.5095 0.4905
Pd 0.8344 0.1656 0.8344

=====

Entry 5:
The following is a theoretical PXRD pattern of Nb8Fe2Sb4Pd. It was derived from a crystal structure in Alexandria, relaxed with PBE, using CuKα.
No peak broadening, texture or thermal motion is included.

Top 10 peaks for 10° ≤ 2θ ≤ 90°, most intense first:
Position (°2θ)  Rel. int.
39.6  100
35.6  75
36.1  40
38.1  34
43.7  23
26.0  20
50.4  20
40.1  20
67.3  18
74.0  17

Crystal structure
abc: 7.8738 7.8738 7.8738
angles: 95.72 95.72 143.19
Fractional coordinates of all 15 atoms:
Nb 0.0571 0.6790 0.2177
Nb 0.1606 0.9429 0.6219
Nb 0.3210 0.5387 0.3781
Nb 0.4613 0.8394 0.7823
Nb 0.5387 0.3210 0.3781
Nb 0.6790 0.0571 0.2177
Nb 0.8394 0.4613 0.7823
Nb 0.9429 0.1606 0.6219
Fe 0.0000 0.5000 0.5000
Fe 0.5000 0.0000 0.5000
Sb 0.1304 0.4311 0.0000
Sb 0.4311 0.1304 0.0000
Sb 0.5689 0.5689 0.6992
Sb 0.8696 0.8696 0.3008
Pd 0.0000 0.0000 0.0000

=====

Entry 6:
The following is a theoretical PXRD pattern of NbFe2Pt2. It was derived from a crystal structure in Alexandria, relaxed with PBE, using CuKα.
No peak broadening, texture or thermal motion is included.

Top 10 peaks for 10° ≤ 2θ ≤ 90°, most intense first:
Position (°2θ)  Rel. int.
41.5  100
41.4  89
75.6  46
27.1  32
60.0  29
35.9  26
77.8  13
19.9  11
75.3  10
46.4  8

Crystal structure
abc: 5.1213 5.1213 5.1213
angles: 50.31 50.31 50.31
Fractional coordinates of all 5 atoms:
Nb 0.0000 0.0000 0.0000
Fe 0.4101 0.4101 0.4101
Fe 0.5899 0.5899 0.5899
Pt 0.2127 0.2127 0.2127
Pt 0.7873 0.7873 0.7873